1.
Simulated powder X-ray diffraction pattern of Ca3Nb2CoO9 for Cu Ka, from a structure optimized by DFT (GGA+U).
Neutral-atom scattering factors, no anomalous dispersion.

Top 8 peaks for 2θ = 10–80°, sorted by position:
2θ (°), I (rel.)
22.48, 47
31.39, 24
32.02, 100
32.56, 23
45.85, 30
45.97, 17
51.73, 11
57.75, 25

Atomic structure:
Lattice parameters (Å, degrees): 9.7260 5.5005 16.8053 90.00 124.29 90.00
Fractional positions:
Ca (0.0489, 0.0142, 0.3997)
Ca (0.0489, 0.4858, 0.8997)
Ca (0.2870, 0.5078, 0.7727)
Ca (0.2870, 0.9922, 0.2727)
Ca (0.3774, 0.0183, 0.0681)
Ca (0.3774, 0.4817, 0.5681)
Ca (0.6226, 0.5183, 0.4319)
Ca (0.6226, 0.9817, 0.9319)
Ca (0.7130, 0.0078, 0.7273)
Ca (0.7130, 0.4922, 0.2273)
Ca (0.9511, 0.5142, 0.1003)
Ca (0.9511, 0.9858, 0.6003)
Nb (0.1758, 0.5032, 0.3396)
Nb (0.1758, 0.9968, 0.8396)
Nb (0.3268, 0.5104, 0.1599)
Nb (0.3268, 0.9896, 0.6599)
Nb (0.6732, 0.0104, 0.3401)
Nb (0.6732, 0.4896, 0.8401)
Nb (0.8242, 0.0032, 0.1604)
Nb (0.8242, 0.4968, 0.6604)
Co (0.0000, 0.0000, 0.0000)
Co (0.0000, 0.5000, 0.5000)
Co (0.5000, 0.0000, 0.5000)
Co (0.5000, 0.5000, 0.0000)
O (0.0460, 0.7054, 0.7491)
O (0.0460, 0.7946, 0.2491)
O (0.1085, 0.5970, 0.4250)
O (0.1085, 0.9030, 0.9250)
O (0.1586, 0.1902, 0.5527)
O (0.1586, 0.3098, 0.0527)
O (0.1871, 0.7003, 0.6196)
O (0.1871, 0.7997, 0.1196)
O (0.2280, 0.0932, 0.7381)
O (0.2280, 0.4068, 0.2381)
O (0.2792, 0.2020, 0.4119)
O (0.2792, 0.2980, 0.9119)
O (0.3798, 0.6915, 0.4096)
O (0.3798, 0.8085, 0.9096)
O (0.4350, 0.6012, 0.0955)
O (0.4350, 0.8988, 0.5955)
O (0.4857, 0.2080, 0.2190)
O (0.4857, 0.2920, 0.7190)
O (0.5143, 0.7080, 0.2810)
O (0.5143, 0.7920, 0.7810)
O (0.5650, 0.1012, 0.4045)
O (0.5650, 0.3988, 0.9045)
O (0.6202, 0.1915, 0.0904)
O (0.6202, 0.3085, 0.5904)
O (0.7208, 0.7020, 0.0881)
O (0.7208, 0.7980, 0.5881)
O (0.7720, 0.5932, 0.7619)
O (0.7720, 0.9068, 0.2619)
O (0.8129, 0.2003, 0.8804)
O (0.8129, 0.2997, 0.3804)
O (0.8414, 0.6902, 0.9473)
O (0.8414, 0.8098, 0.4473)
O (0.8915, 0.0970, 0.0750)
O (0.8915, 0.4030, 0.5750)
O (0.9540, 0.2054, 0.7509)
O (0.9540, 0.2946, 0.2509)

---

2.
Simulated powder X-ray diffraction pattern of CaNdCoO4 for Cu Ka, from a structure optimized by DFT (GGA+U).
Neutral-atom scattering factors, no anomalous dispersion.

Top 8 peaks for 2θ = 10–80°, sorted by position:
2θ (°), I (rel.)
14.58, 46
24.67, 39
32.40, 100
33.54, 70
44.31, 26
45.19, 25
48.16, 38
59.25, 36

Atomic structure:
Lattice parameters (Å, degrees): 6.6376 6.6376 6.6376 146.92 146.92 47.48
Fractional positions:
Ca (0.0000, 0.0000, 0.0000)
Nd (0.7175, 0.7175, 0.0000)
Co (0.3638, 0.3638, 0.0000)
O (0.1896, 0.1896, 0.0000)
O (0.3556, 0.8556, 0.5000)
O (0.5302, 0.5302, 0.0000)
O (0.8556, 0.3556, 0.5000)

---

3.
Simulated powder X-ray diffraction pattern of CaNdCoO4 for Cu Ka, from a structure optimized by DFT (GGA+U).
Neutral-atom scattering factors, no anomalous dispersion.

Top 8 peaks for 2θ = 10–80°, sorted by position:
2θ (°), I (rel.)
18.17, 32
22.13, 36
32.40, 100
33.58, 77
44.27, 22
45.19, 26
48.23, 41
59.24, 18

Atomic structure:
Lattice parameters (Å, degrees): 6.6445 6.6445 5.3447 90.00 90.00 132.71
Fractional positions:
Ca (0.1062, 0.8938, 0.7500)
Ca (0.8938, 0.1062, 0.2500)
Nd (0.3887, 0.6113, 0.7500)
Nd (0.6113, 0.3887, 0.2500)
Co (0.2488, 0.7512, 0.2500)
Co (0.7512, 0.2488, 0.7500)
O (0.0000, 0.5000, 0.0000)
O (0.0000, 0.5000, 0.5000)
O (0.0813, 0.9187, 0.2500)
O (0.4221, 0.5779, 0.2500)
O (0.5000, 0.0000, 0.0000)
O (0.5000, 0.0000, 0.5000)
O (0.5779, 0.4221, 0.7500)
O (0.9187, 0.0813, 0.7500)